Theoretical XRD peak list
Compound: VSbF5
Radiation: copper Kα
Structure: DFT lattice parameters and positions (PBE+U)

The 10 most intense peaks (2θ from 10° to 90°), in order of rising 2θ:
2θ (°), I/Imax
16.73, 24
21.45, 58
25.84, 100
33.04, 13
43.69, 16
45.55, 21
45.59, 10
50.34, 18
53.12, 15
72.53, 10

Structural model:
```
data_VSbF5
_space_group_name_H-M_alt 'P -1'
_space_group_IT_number 2
_cell_length_a 5.666
_cell_length_b 5.685
_cell_length_c 7.975
_cell_angle_alpha 71.76
_cell_angle_beta 71.75
_cell_angle_gamma 74.81
loop_
_space_group_symop_operation_xyz
'x,y,z'
'-x,-y,-z'
loop_
_atom_site_label
_atom_site_type_symbol
_atom_site_fract_x
_atom_site_fract_y
_atom_site_fract_z
V1 V 0.000 0.000 0.000
V2 V 0.000 0.000 0.500
Sb1 Sb 0.484 0.516 0.250
F1 F 0.093 0.913 0.249
F2 F 0.213 0.292 0.890
F3 F 0.286 0.670 0.575
F4 F 0.290 0.216 0.395
F5 F 0.330 0.716 0.922
```